Calculated powder XRD pattern
Compound: K4Ac3TmTe8
Radiation: Cu Kα
Structure: a structure optimized by DFT (PBE)
Kinematic intensities with the Lorentz-polarization factor, no thermal factor.

Atomic structure:
```
K4Ac3TmTe8
1.0
4.751 2.743 8.278
-4.751 2.743 8.278
0.000 -5.486 8.278
K Ac Tm Te
4 3 1 8
Direct
0.000 0.000 0.000 K
0.000 0.500 0.500 K
0.500 0.000 0.500 K
0.500 0.500 0.000 K
0.000 0.000 0.500 Ac
0.000 0.500 0.000 Ac
0.500 0.000 0.000 Ac
0.500 0.500 0.500 Tm
0.242 0.242 0.242 Te
0.258 0.729 0.729 Te
0.271 0.271 0.742 Te
0.271 0.742 0.271 Te
0.729 0.258 0.729 Te
0.729 0.729 0.258 Te
0.742 0.271 0.271 Te
0.758 0.758 0.758 Te
```

Top 10 peaks for 10 to 80 degrees two-theta, low angle first:
d [Å], I (rel.)
8.278, 47
4.059, 14
3.430, 100
2.687, 17
2.478, 37
2.375, 38
2.283, 13
1.953, 20
1.560, 14
1.508, 17

Calculated powder XRD pattern
Compound: NaTl2HBr4
Radiation: Cu Kα
Structure: a structure optimized by DFT (PBE)
Kinematic intensities with the Lorentz-polarization factor, no thermal factor.

Atomic structure:
```
NaTl2HBr4
1.0
7.160 -5.681 0.000
7.160 5.681 0.000
-6.786 0.000 7.179
Na Tl H Br
2 4 2 8
Direct
0.000 0.500 0.000 Na
0.500 0.000 0.500 Na
0.000 0.000 0.000 Tl
0.000 0.000 0.500 Tl
0.000 0.500 0.500 Tl
0.500 0.000 0.000 Tl
0.500 0.500 0.000 H
0.500 0.500 0.500 H
0.177 0.216 0.946 Br
0.216 0.177 0.446 Br
0.347 0.653 0.504 Br
0.347 0.653 0.996 Br
0.653 0.347 0.004 Br
0.653 0.347 0.496 Br
0.784 0.823 0.554 Br
0.823 0.784 0.054 Br
```

Top 10 peaks for 10 to 80 degrees two-theta, low angle first:
d [Å], I (rel.)
7.674, 52
7.455, 49
3.590, 100
3.575, 100
3.559, 63
2.887, 41
2.602, 33
2.470, 41
2.272, 53
2.226, 37

Calculated powder XRD pattern
Compound: PrNd4Er6
Radiation: Cu Kα
Structure: a structure optimized by DFT (PBE)
Kinematic intensities with the Lorentz-polarization factor, no thermal factor.

Atomic structure:
```
PrNd4Er6
1.0
11.018 0.000 0.000
-5.509 9.542 0.000
0.000 0.000 3.537
Pr Nd Er
1 4 6
Direct
0.000 0.000 0.000 Pr
0.333 0.667 0.000 Nd
0.397 0.198 0.500 Nd
0.802 0.198 0.500 Nd
0.802 0.603 0.500 Nd
0.008 0.504 0.000 Er
0.171 0.342 0.500 Er
0.171 0.829 0.500 Er
0.496 0.504 0.000 Er
0.496 0.992 0.000 Er
0.658 0.829 0.500 Er
```

Top 10 peaks for 10 to 80 degrees two-theta, low angle first:
d [Å], I (rel.)
3.607, 19
2.977, 15
2.842, 100
2.755, 100
2.525, 26
2.365, 15
1.978, 28
1.607, 37
1.590, 17
1.488, 31

Calculated powder XRD pattern
Compound: Y2Al9Pt3
Radiation: Cu Kα
Structure: a structure optimized by DFT (PBE)
Kinematic intensities with the Lorentz-polarization factor, no thermal factor.

Atomic structure:
```
Y2Al9Pt3
1.0
6.632 -3.819 0.000
6.632 3.819 0.000
-4.399 0.000 9.455
Y Al Pt
4 18 6
Direct
0.085 0.253 0.250 Y
0.253 0.085 0.750 Y
0.747 0.915 0.250 Y
0.915 0.747 0.750 Y
0.025 0.858 0.075 Al
0.142 0.975 0.425 Al
0.192 0.358 0.573 Al
0.212 0.582 0.251 Al
0.312 0.481 0.939 Al
0.358 0.192 0.073 Al
0.374 0.626 0.750 Al
0.418 0.788 0.249 Al
0.481 0.312 0.439 Al
0.519 0.688 0.561 Al
0.582 0.212 0.751 Al
0.626 0.374 0.250 Al
0.642 0.808 0.927 Al
0.688 0.519 0.061 Al
0.788 0.418 0.749 Al
0.808 0.642 0.427 Al
0.858 0.025 0.575 Al
0.975 0.142 0.925 Al
0.000 0.500 0.000 Pt
0.158 0.672 0.500 Pt
0.328 0.842 0.000 Pt
0.500 0.000 0.500 Pt
0.672 0.158 0.000 Pt
0.842 0.328 0.500 Pt
```

Top 10 peaks for 10 to 80 degrees two-theta, low angle first:
d [Å], I (rel.)
4.728, 27
3.824, 54
2.973, 100
2.363, 19
2.208, 54
2.011, 29
2.001, 17
1.771, 19
1.613, 21
1.382, 16

Calculated powder XRD pattern
Compound: Ba2Ga4Ag5
Radiation: Cu Kα
Structure: a structure optimized by DFT (PBE)
Kinematic intensities with the Lorentz-polarization factor, no thermal factor.

Atomic structure:
```
Ba2Ga4Ag5
1.0
0.000 5.298 8.015
3.110 0.000 8.015
3.110 5.298 0.000
Ba Ga Ag
2 4 5
Direct
0.140 0.140 0.860 Ba
0.860 0.860 0.140 Ba
0.217 0.526 0.474 Ga
0.474 0.783 0.217 Ga
0.526 0.217 0.783 Ga
0.783 0.474 0.526 Ga
0.000 0.000 0.500 Ag
0.250 0.250 0.250 Ag
0.500 0.500 0.000 Ag
0.500 0.500 0.500 Ag
0.750 0.750 0.750 Ag
```

Top 10 peaks for 10 to 80 degrees two-theta, low angle first:
d [Å], I (rel.)
3.785, 38
3.196, 60
3.016, 29
2.682, 85
2.663, 100
2.649, 29
2.457, 98
2.229, 34
2.004, 37
1.536, 34

Calculated powder XRD pattern
Compound: Ba8TlGa2
Radiation: Cu Kα
Structure: a structure optimized by DFT (PBE)
Kinematic intensities with the Lorentz-polarization factor, no thermal factor.

Atomic structure:
```
Ba8TlGa2
1.0
5.136 -9.882 0.000
5.136 9.882 0.000
-3.546 0.000 4.884
Ba Tl Ga
8 1 2
Direct
0.000 0.000 0.000 Ba
0.087 0.772 0.430 Ba
0.177 0.601 0.890 Ba
0.304 0.304 0.804 Ba
0.471 0.679 0.576 Ba
0.601 0.177 0.890 Ba
0.679 0.471 0.576 Ba
0.772 0.087 0.430 Ba
0.716 0.716 0.217 Tl
0.020 0.336 0.179 Ga
0.336 0.020 0.179 Ga
```

Top 10 peaks for 10 to 80 degrees two-theta, low angle first:
d [Å], I (rel.)
3.473, 85
3.373, 56
3.307, 45
3.294, 17
3.038, 100
3.018, 66
2.731, 21
2.001, 20
1.848, 19
1.746, 20

Calculated powder XRD pattern
Compound: LiDy8Tc2
Radiation: Cu Kα
Structure: a structure optimized by DFT (PBE)
Kinematic intensities with the Lorentz-polarization factor, no thermal factor.

Atomic structure:
```
LiDy8Tc2
1.0
4.357 -6.452 0.000
4.357 6.452 0.000
-1.487 0.000 5.499
Li Dy Tc
1 8 2
Direct
0.000 0.000 0.000 Li
0.067 0.332 0.584 Dy
0.244 0.755 0.000 Dy
0.332 0.067 0.584 Dy
0.390 0.390 0.205 Dy
0.610 0.610 0.796 Dy
0.667 0.932 0.416 Dy
0.755 0.244 0.000 Dy
0.932 0.667 0.416 Dy
0.313 0.687 0.501 Tc
0.687 0.313 0.501 Tc
```

Top 10 peaks for 10 to 80 degrees two-theta, low angle first:
d [Å], I (rel.)
3.314, 26
2.984, 81
2.780, 100
2.748, 61
2.560, 46
2.530, 32
2.442, 24
2.350, 32
2.000, 24
1.420, 29